No. 1
Structure and computed powder XRD pattern of KPaCrSe4 (a PBE-relaxed structure; Cu Kα).

Top 10 peaks for 10 to 90 degrees two-theta, in order of rising 2θ:
d [Å]	2theta	Rel. int.
6.548	13.5	100
4.156	21.4	17
3.748	23.7	39
3.259	27.4	36
3.075	29.0	68
2.659	33.7	56
2.394	37.6	18
2.313	38.9	35
2.011	45.1	50
1.872	48.6	16

Cell and atoms:
```
data_KPaCrSe4
_chemical_formula_sum 'K4 Pa4 Cr4 Se16'
_space_group_name_H-M_alt 'I m m a'
_space_group_IT_number 74
_space_group_name_Hall '-I 2b 2'
_cell_length_a 8.3123
_cell_length_b 9.1416
_cell_length_c 10.6294
_cell_angle_alpha 90.00
_cell_angle_beta 90.00
_cell_angle_gamma 90.00
loop_
_atom_site_label
_atom_site_fract_x
_atom_site_fract_y
_atom_site_fract_z
K1 0.0000 0.2500 0.1746
Pa1 0.0000 0.0000 0.5000
Cr1 0.2500 0.2500 0.7500
Se1 0.0000 0.0697 0.7560
Se2 0.2094 0.2500 0.4996
```



No. 2
Structure and computed powder XRD pattern of K3Cr11S18 (a PBE-relaxed structure; Cu Kα).

Top 10 peaks for 10 to 90 degrees two-theta, in order of rising 2θ:
d [Å]	2theta	Rel. int.
8.186	10.8	100
4.042	22.0	17
2.747	32.6	31
2.712	33.0	73
2.606	34.4	26
2.284	39.5	24
2.180	41.4	36
1.900	47.9	22
1.761	51.9	28
1.750	52.3	40

Cell and atoms:
```
data_K3Cr11S18
_chemical_formula_sum 'K6 Cr22 S36'
_space_group_name_H-M_alt 'C 1 2/m 1'
_space_group_IT_number 12
_cell_length_a 21.3324
_cell_length_b 3.5212
_cell_length_c 16.5447
_cell_angle_alpha 90.00
_cell_angle_beta 100.00
_cell_angle_gamma 90.00
loop_
_space_group_symop_operation_xyz
'x,y,z'
'-x,-y,-z'
'-x,y,-z'
'x,-y,z'
'x+1/2,y+1/2,z'
'-x+1/2,-y+1/2,-z'
'-x+1/2,y+1/2,-z'
'x+1/2,-y+1/2,z'
loop_
_atom_site_label
_atom_site_fract_x
_atom_site_fract_y
_atom_site_fract_z
K1 0.0000 0.0000 0.0000
K2 0.1951 0.5000 0.5941
Cr1 0.0000 0.5000 0.5000
Cr2 0.0301 0.0000 0.7536
Cr3 0.0917 0.0000 0.3706
Cr4 0.1527 0.5000 0.2227
Cr5 0.1662 0.5000 0.8204
Cr6 0.2051 0.0000 0.0693
S1 0.0052 0.5000 0.3537
S2 0.0611 0.5000 0.8482
S3 0.0779 0.0000 0.2229
S4 0.0783 0.0000 0.5095
S5 0.1329 0.5000 0.0742
S6 0.1349 0.0000 0.7277
S7 0.1674 0.5000 0.3742
S8 0.2073 0.0000 0.9243
S9 0.2274 0.0000 0.2156
```



No. 3
Structure and computed powder XRD pattern of KCr2S4 (a PBE-relaxed structure; Cu Kα).

Top 10 peaks for 10 to 90 degrees two-theta, in order of rising 2θ:
d [Å]	2theta	Rel. int.
6.148	14.4	63
4.099	21.7	28
3.015	29.6	19
2.775	32.3	100
2.478	36.3	87
1.929	47.1	72
1.796	50.9	60
1.454	64.0	14
1.378	68.0	16
1.314	71.8	18

Cell and atoms:
```
data_KCr2S4
_chemical_formula_sum 'K1 Cr2 S4'
_space_group_name_H-M_alt 'P -6 m 2'
_space_group_IT_number 187
_space_group_name_Hall 'P -6 2'
_cell_length_a 3.5911
_cell_length_b 3.5911
_cell_length_c 12.2962
_cell_angle_alpha 90.00
_cell_angle_beta 90.00
_cell_angle_gamma 120.00
loop_
_atom_site_label
_atom_site_fract_x
_atom_site_fract_y
_atom_site_fract_z
K1 0.0000 0.0000 0.0000
Cr1 0.3333 0.6667 0.2951
S1 0.0000 0.0000 0.3868
S2 0.6667 0.3333 0.1880
```



No. 4
Structure and computed powder XRD pattern of KCr2S4 (a PBE-relaxed structure; Cu Kα).

Top 10 peaks for 10 to 90 degrees two-theta, in order of rising 2θ:
d [Å]	2theta	Rel. int.
7.637	11.6	100
2.809	31.9	17
2.734	32.8	10
2.373	37.9	45
2.317	38.9	21
1.938	46.9	9
1.754	52.1	8
1.711	53.5	18
1.609	57.3	18
1.399	66.9	7

Cell and atoms:
```
data_KCr2S4
_chemical_formula_sum 'K1 Cr2 S4'
_space_group_name_H-M_alt 'P 1 2/m 1'
_space_group_IT_number 10
_cell_length_a 5.8836
_cell_length_b 3.5086
_cell_length_c 7.6374
_cell_angle_alpha 90.00
_cell_angle_beta 90.70
_cell_angle_gamma 90.00
loop_
_space_group_symop_operation_xyz
'x,y,z'
'-x,-y,-z'
'-x,y,-z'
'x,-y,z'
loop_
_atom_site_label
_atom_site_fract_x
_atom_site_fract_y
_atom_site_fract_z
K1 0.0000 0.0000 0.0000
Cr1 0.0000 0.0000 0.5000
Cr2 0.5000 0.5000 0.5000
S1 0.1606 0.5000 0.3272
S2 0.3406 0.0000 0.6725
```



No. 5
Structure and computed powder XRD pattern of KCrTeS (a PBE-relaxed structure; Cu Kα).

Top 10 peaks for 10 to 90 degrees two-theta, in order of rising 2θ:
d [Å]	2theta	Rel. int.
8.081	10.9	83
3.271	27.3	41
3.032	29.5	100
2.694	33.3	16
2.543	35.3	100
2.080	43.5	51
1.889	48.2	42
1.546	59.8	17
1.516	61.1	19
1.182	81.4	16

Cell and atoms:
```
data_KCrTeS
_chemical_formula_sum 'K1 Cr1 Te1 S1'
_space_group_name_H-M_alt 'P 3 m 1'
_space_group_IT_number 156
_cell_length_a 3.7775
_cell_length_b 3.7775
_cell_length_c 8.0814
_cell_angle_alpha 90.00
_cell_angle_beta 90.00
_cell_angle_gamma 120.00
loop_
_space_group_symop_operation_xyz
'x,y,z'
'-y,x-y,z'
'-x+y,-x,z'
'-y,-x,z'
'-x+y,y,z'
'x,x-y,z'
loop_
_atom_site_label
_atom_site_fract_x
_atom_site_fract_y
_atom_site_fract_z
K1 0.0000 0.0000 0.0000
Cr1 0.3333 0.6667 0.5702
Te1 0.6667 0.3333 0.3534
S1 0.6667 0.3333 0.7309
```



No. 6
Structure and computed powder XRD pattern of K2U2CrS6 (a PBE-relaxed structure; Cu Kα).

Top 10 peaks for 10 to 90 degrees two-theta, in order of rising 2θ:
d [Å]	2theta	Rel. int.
7.636	11.6	100
5.120	17.3	12
3.818	23.3	16
3.237	27.6	18
3.147	28.4	16
2.872	31.1	23
2.837	31.5	50
2.310	39.0	14
2.158	41.9	26
1.903	47.8	14

Cell and atoms:
```
data_K2U2CrS6
_chemical_formula_sum 'K4 U4 Cr2 S12'
_space_group_name_H-M_alt 'C 1 2/m 1'
_space_group_IT_number 12
_cell_length_a 6.6202
_cell_length_b 11.2857
_cell_length_c 7.9596
_cell_angle_alpha 90.00
_cell_angle_beta 106.39
_cell_angle_gamma 90.00
loop_
_space_group_symop_operation_xyz
'x,y,z'
'-x,-y,-z'
'-x,y,-z'
'x,-y,z'
'x+1/2,y+1/2,z'
'-x+1/2,-y+1/2,-z'
'-x+1/2,y+1/2,-z'
'x+1/2,-y+1/2,z'
loop_
_atom_site_label
_atom_site_fract_x
_atom_site_fract_y
_atom_site_fract_z
K1 0.0000 0.1714 0.0000
U1 0.0000 0.3339 0.5000
Cr1 0.0000 0.0000 0.5000
S1 0.2200 0.1532 0.6916
S2 0.2367 0.0000 0.3088
```



No. 7
Structure and computed powder XRD pattern of K4Zr3CrS8 (a PBE-relaxed structure; Cu Kα).

Top 10 peaks for 10 to 90 degrees two-theta, in order of rising 2θ:
d [Å]	2theta	Rel. int.
7.360	12.0	44
3.680	24.2	10
3.139	28.4	14
2.816	31.8	100
2.272	39.7	13
2.110	42.9	33
1.890	48.1	30
1.831	49.8	14
1.570	58.8	15
1.208	79.3	12

Cell and atoms:
```
data_K4Zr3CrS8
_chemical_formula_sum 'K12 Zr9 Cr3 S24'
_space_group_name_H-M_alt 'R -3 m'
_space_group_IT_number 166
_space_group_name_Hall '-R 3 2"'
_cell_length_a 7.5614
_cell_length_b 7.5614
_cell_length_c 22.0806
_cell_angle_alpha 90.00
_cell_angle_beta 90.00
_cell_angle_gamma 120.00
loop_
_atom_site_label
_atom_site_fract_x
_atom_site_fract_y
_atom_site_fract_z
K1 0.0000 0.0000 0.0000
K2 0.0000 0.5000 0.0000
Zr1 0.0000 0.5000 0.5000
Cr1 0.0000 0.0000 0.5000
S1 0.0000 0.0000 0.2339
S2 0.0054 0.5027 0.2312
```



No. 8
Structure and computed powder XRD pattern of K3CrSe3 (a PBE-relaxed structure; Cu Kα).

Top 10 peaks for 10 to 90 degrees two-theta, in order of rising 2θ:
d [Å]	2theta	Rel. int.
5.884	15.1	100
3.878	22.9	68
3.310	26.9	87
3.290	27.1	68
3.191	28.0	56
2.788	32.1	50
2.714	33.0	46
2.400	37.5	54
2.392	37.6	76
2.333	38.6	87

Cell and atoms:
```
data_K3CrSe3
_chemical_formula_sum 'K24 Cr8 Se24'
_space_group_name_H-M_alt 'C m c e'
_space_group_IT_number 64
_space_group_name_Hall '-C 2ac 2'
_cell_length_a 19.8576
_cell_length_b 6.9722
_cell_length_c 13.1590
_cell_angle_alpha 90.00
_cell_angle_beta 90.00
_cell_angle_gamma 90.00
loop_
_atom_site_label
_atom_site_fract_x
_atom_site_fract_y
_atom_site_fract_z
K1 0.0000 0.1531 0.1661
K2 0.1793 0.1650 0.8710
Cr1 0.0798 0.0000 0.5000
Se1 0.0000 0.2102 0.4141
Se2 0.1524 0.1680 0.6152
```



No. 9
Structure and computed powder XRD pattern of K2CrSiSe4 (a PBE-relaxed structure; Cu Kα).

Top 10 peaks for 10 to 90 degrees two-theta, in order of rising 2θ:
d [Å]	2theta	Rel. int.
6.656	13.3	34
2.886	31.0	100
2.865	31.2	47
2.639	34.0	17
2.221	40.6	24
2.209	40.8	12
2.047	44.3	14
2.033	44.6	73
1.659	55.4	14
1.611	57.2	13

Cell and atoms:
```
data_K2CrSiSe4
_chemical_formula_sum 'K8 Cr4 Si4 Se16'
_space_group_name_H-M_alt 'I m m a'
_space_group_IT_number 74
_space_group_name_Hall '-I 2b 2'
_cell_length_a 8.1377
_cell_length_b 8.1863
_cell_length_c 11.4590
_cell_angle_alpha 90.00
_cell_angle_beta 90.00
_cell_angle_gamma 90.00
loop_
_atom_site_label
_atom_site_fract_x
_atom_site_fract_y
_atom_site_fract_z
K1 0.0000 0.0000 0.0000
K2 0.2500 0.2500 0.2500
Cr1 0.2500 0.2500 0.7500
Si1 0.0000 0.0000 0.5000
Se1 0.0000 0.0466 0.7311
Se2 0.2152 0.2500 0.5253
```



No. 10
Structure and computed powder XRD pattern of KCrTeSe (a PBE-relaxed structure; Cu Kα).

Top 10 peaks for 10 to 90 degrees two-theta, in order of rising 2θ:
d [Å]	2theta	Rel. int.
8.242	10.7	58
3.362	26.5	62
3.113	28.7	57
2.605	34.4	100
2.128	42.5	60
1.941	46.8	46
1.585	58.2	17
1.557	59.4	20
1.256	75.7	19
1.214	78.8	17

Cell and atoms:
```
data_KCrTeSe
_chemical_formula_sum 'K1 Cr1 Te1 Se1'
_space_group_name_H-M_alt 'P 3 m 1'
_space_group_IT_number 156
_cell_length_a 3.8825
_cell_length_b 3.8825
_cell_length_c 8.2423
_cell_angle_alpha 90.00
_cell_angle_beta 90.00
_cell_angle_gamma 120.00
loop_
_space_group_symop_operation_xyz
'x,y,z'
'-y,x-y,z'
'-x+y,-x,z'
'-y,-x,z'
'-x+y,y,z'
'x,x-y,z'
loop_
_atom_site_label
_atom_site_fract_x
_atom_site_fract_y
_atom_site_fract_z
K1 0.0000 0.0000 0.0000
Cr1 0.3333 0.6667 0.4567
Te1 0.6667 0.3333 0.6621
Se1 0.6667 0.3333 0.2822
```



No. 11
Structure and computed powder XRD pattern of K2TmCrSe4 (a PBE-relaxed structure; Cu Kα).

Top 10 peaks for 10 to 90 degrees two-theta, in order of rising 2θ:
d [Å]	2theta	Rel. int.
7.611	11.6	58
2.966	30.1	100
2.377	37.9	23
2.209	40.8	20
2.195	41.1	9
2.012	45.1	12
2.000	45.3	22
1.785	51.2	9
1.665	55.2	11
1.276	74.3	8

Cell and atoms:
```
data_K2TmCrSe4
_chemical_formula_sum 'K2 Tm1 Cr1 Se4'
_space_group_name_H-M_alt 'P 1 2/m 1'
_space_group_IT_number 10
_cell_length_a 6.9142
_cell_length_b 4.0235
_cell_length_c 7.9657
_cell_angle_alpha 90.00
_cell_angle_beta 107.15
_cell_angle_gamma 90.00
loop_
_space_group_symop_operation_xyz
'x,y,z'
'-x,-y,-z'
'-x,y,-z'
'x,-y,z'
loop_
_atom_site_label
_atom_site_fract_x
_atom_site_fract_y
_atom_site_fract_z
K1 0.0000 0.0000 0.0000
K2 0.5000 0.5000 0.0000
Tm1 0.0000 0.5000 0.5000
Cr1 0.5000 0.0000 0.5000
Se1 0.2521 0.0000 0.6979
Se2 0.2921 0.5000 0.3146
```



No. 12
Structure and computed powder XRD pattern of K2UCr2Se6 (a PBE-relaxed structure; Cu Kα).

Top 10 peaks for 10 to 90 degrees two-theta, in order of rising 2θ:
d [Å]	2theta	Rel. int.
7.904	11.2	100
5.585	15.9	15
4.664	19.0	12
2.910	30.7	67
2.865	31.2	34
2.382	37.8	23
2.205	40.9	21
1.926	47.2	11
1.910	47.6	23
1.803	50.6	13

Cell and atoms:
```
data_K2UCr2Se6
_chemical_formula_sum 'K4 U2 Cr4 Se12'
_space_group_name_H-M_alt 'C 1 2/m 1'
_space_group_IT_number 12
_cell_length_a 6.5981
_cell_length_b 11.5559
_cell_length_c 8.1737
_cell_angle_alpha 90.00
_cell_angle_beta 104.77
_cell_angle_gamma 90.00
loop_
_space_group_symop_operation_xyz
'x,y,z'
'-x,-y,-z'
'-x,y,-z'
'x,-y,z'
'x+1/2,y+1/2,z'
'-x+1/2,-y+1/2,-z'
'-x+1/2,y+1/2,-z'
'x+1/2,-y+1/2,z'
loop_
_atom_site_label
_atom_site_fract_x
_atom_site_fract_y
_atom_site_fract_z
K1 0.0000 0.1616 0.0000
U1 0.0000 0.0000 0.5000
Cr1 0.0000 0.3330 0.5000
Se1 0.1999 0.5000 0.6887
Se2 0.2370 0.1783 0.6872
```